# 1
Diffraction record for Ca3PPt3. The X-ray powder pattern is theoretical, not measured: it uses a GGA-PBE-relaxed structure and λ = 1.5418 Å (Cu Kα).

Cell: 10.371 4.193 14.886 Å, 90.00 110.30 90.00°
Space group C2/m (No. 12)
Asymmetric unit:
Ca 0.030 0.000 0.273 x4
Ca 0.139 0.500 0.114 x4
Ca 0.178 0.000 0.576 x4
P 0.163 0.500 0.900 x4
Pt 0.033 0.500 0.420 x4
Pt 0.105 0.000 0.953 x4
Pt 0.182 0.500 0.747 x4

Main lines, low angle first (2θ = 10–90°):
- 17.10 deg, I 48
- 23.10 deg, I 100
- 25.72 deg, I 61
- 27.97 deg, I 24
- 32.14 deg, I 78
- 33.76 deg, I 46
- 38.70 deg, I 27
- 39.78 deg, I 43
- 40.70 deg, I 67
- 43.15 deg, I 38
- 48.42 deg, I 33
- 60.13 deg, I 26

***

# 2
Diffraction record for CaPPt. The X-ray powder pattern is theoretical, not measured: it uses a GGA-PBE-relaxed structure and λ = 1.5418 Å (Cu Kα).

Cell: 4.380 8.373 6.564 Å, 90.00 90.00 90.00°
Space group Pmc2_1 (No. 26)
Asymmetric unit:
Ca 0.000 0.087 0.000 x2
Ca 0.000 0.373 0.564 x2
P 0.500 0.116 0.683 x2
P 0.500 0.428 0.260 x2
Pt 0.500 0.157 0.315 x2
Pt 0.500 0.331 0.932 x2

Main lines, low angle first (2θ = 10–90°):
- 20.27 deg, I 87
- 25.23 deg, I 47
- 26.68 deg, I 20
- 32.58 deg, I 100
- 34.14 deg, I 38
- 41.22 deg, I 30
- 42.71 deg, I 23
- 45.48 deg, I 19
- 47.54 deg, I 19
- 47.71 deg, I 23
- 50.27 deg, I 21
- 60.86 deg, I 19

***

# 3
Diffraction record for Ca2P3Pt9. The X-ray powder pattern is theoretical, not measured: it uses a GGA-PBE-relaxed structure and λ = 1.5418 Å (Cu Kα).

Cell: 13.484 7.991 9.610 Å, 90.00 117.99 90.00°
Space group C2/c (No. 15)
Asymmetric unit:
Ca 0.171 0.084 0.253 x8
P 0.094 0.213 0.495 x8
P 0.250 0.250 0.000 x4
Pt 0.000 0.357 0.250 x4
Pt 0.063 0.072 0.924 x8
Pt 0.105 0.314 0.732 x8
Pt 0.109 0.403 0.049 x8
Pt 0.225 0.408 0.413 x8

Main lines, low angle first (2θ = 10–90°):
- 25.03 deg, I 21
- 30.74 deg, I 17
- 31.05 deg, I 26
- 31.10 deg, I 17
- 34.50 deg, I 17
- 35.89 deg, I 29
- 39.01 deg, I 43
- 39.23 deg, I 43
- 39.32 deg, I 100
- 40.12 deg, I 28
- 47.65 deg, I 19
- 71.45 deg, I 17

***

# 4
Diffraction record for Ca2P3Pt. The X-ray powder pattern is theoretical, not measured: it uses a GGA-PBE-relaxed structure and λ = 1.5418 Å (Cu Kα).

Cell: 8.351 8.838 13.141 Å, 90.00 90.00 90.00°
Space group Fmmm (No. 69)
Asymmetric unit:
Ca 0.247 0.000 0.000 x8
Ca 0.250 0.250 0.250 x8
P 0.000 0.000 0.147 x8
P 0.000 0.228 0.416 x16
Pt 0.000 0.000 0.324 x8

Main lines, low angle first (2θ = 10–90°):
- 13.48 deg, I 28
- 16.08 deg, I 51
- 20.09 deg, I 37
- 21.28 deg, I 52
- 25.07 deg, I 87
- 29.43 deg, I 30
- 32.50 deg, I 100
- 34.74 deg, I 29
- 38.37 deg, I 30
- 40.84 deg, I 30
- 46.26 deg, I 39
- 65.25 deg, I 27